# 1
This entry pairs a crystal structure of RbThTeSe with its computed powder XRD pattern. Radiation: a wavelength of 1.5418 Å. Structure: a DFT-relaxed cell (PBE, Alexandria).

```
RbThTeSe
1.0
3.7517 -2.1686 0.0000
3.7517 2.1686 0.0000
-2.4939 0.0000 8.7550
Rb Th Te Se
1 1 1 1
Direct
0.0000 0.0000 0.0000 Rb
0.1610 0.1610 0.4831 Th
0.5688 0.5688 0.7064 Te
0.7632 0.7632 0.2904 Se
```

Main lines, in order of rising 2θ (2θ = 10–80°):
two_theta  I/Imax
10.1  60
24.7  55
29.2  100
33.8  46
36.4  14
41.7  46
42.0  23
51.7  21
54.7  15
60.1  20
68.5  18
71.0  12

=====

# 2
This entry pairs a crystal structure of CeDy10Y6 with its computed powder XRD pattern. Radiation: a wavelength of 1.5418 Å. Structure: a DFT-relaxed cell (PBE, Alexandria).

```
CeDy10Y6
1.0
9.6578 0.0000 0.0000
-4.8289 8.3639 0.0000
0.0000 0.0000 6.8188
Ce Dy Y
1 10 6
Direct
0.0000 0.0000 0.0000 Ce
0.0000 0.2725 0.3160 Dy
0.0000 0.7275 0.6840 Dy
0.2725 0.0000 0.3160 Dy
0.2725 0.2725 0.6840 Dy
0.3333 0.6667 0.0000 Dy
0.3333 0.6667 0.5000 Dy
0.6667 0.3333 0.0000 Dy
0.6667 0.3333 0.5000 Dy
0.7275 0.0000 0.6840 Dy
0.7275 0.7275 0.3160 Dy
0.0000 0.3771 0.8011 Y
0.0000 0.6229 0.1989 Y
0.3771 0.0000 0.8011 Y
0.3771 0.3771 0.1989 Y
0.6229 0.0000 0.1989 Y
0.6229 0.6229 0.8011 Y
```

Main lines, in order of rising 2θ (2θ = 10–80°):
two_theta  I/Imax
22.6  7
25.0  5
28.2  9
31.2  27
32.1  100
41.1  7
46.1  15
49.3  10
57.3  22
60.1  9
63.4  9
76.4  7